Starting from a DFT-relaxed cell (GGA-PBE, Alexandria), the X-ray powder pattern of TbPm6Pb10 was calculated for λ = 1.5418 Å (Cu Kα).
Neutral-atom scattering factors, no anomalous dispersion.

Structure:
Cell: 9.5414 9.5414 6.5790 Å, 90.00 90.00 120.00°
Positions (direct):
Tb1 0.0000 0.0000 0.0000
Pm1 0.0000 0.3880 0.7649
Pm2 0.0000 0.6120 0.2351
Pm3 0.3880 0.0000 0.7649
Pm4 0.3880 0.3880 0.2351
Pm5 0.6120 0.0000 0.2351
Pm6 0.6120 0.6120 0.7649
Pb1 0.0000 0.2610 0.2960
Pb2 0.0000 0.7390 0.7040
Pb3 0.2610 0.0000 0.2960
Pb4 0.2610 0.2610 0.7040
Pb5 0.3333 0.6667 0.0000
Pb6 0.3333 0.6667 0.5000
Pb7 0.6667 0.3333 0.0000
Pb8 0.6667 0.3333 0.5000
Pb9 0.7390 0.0000 0.7040
Pb10 0.7390 0.7390 0.2960

Largest 10 diffraction maxima, low angle first, 10 to 90 degrees two-theta:
| d/Å | two_theta | Rel. int. |
| --- | --- | --- |
| 3.123 | 28.58 | 16 |
| 2.821 | 31.71 | 79 |
| 2.754 | 32.51 | 70 |
| 2.708 | 33.08 | 100 |
| 2.164 | 41.74 | 12 |
| 1.931 | 47.06 | 26 |
| 1.822 | 50.08 | 16 |
| 1.795 | 50.88 | 12 |
| 1.581 | 58.36 | 12 |
| 1.412 | 66.18 | 14 |